(1)
This entry pairs a crystal structure of Er3Ni2Ge4 with its simulated powder X-ray diffraction pattern. Radiation: Cu Ka. Structure: a structure optimized by DFT (PBE).
No peak broadening, texture or thermal motion is included.

```
data_Er3Ni2Ge4
_cell_length_a 10.514
_cell_length_b 4.138
_cell_length_c 7.995
_cell_angle_alpha 90.00
_cell_angle_beta 106.67
_cell_angle_gamma 90.00
_space_group_name_H-M_alt 'C 1 2/m 1'
_space_group_IT_number 12
loop_
_space_group_symop_operation_xyz
'x,y,z'
'-x,-y,-z'
'-x,y,-z'
'x,-y,z'
'x+1/2,y+1/2,z'
'-x+1/2,-y+1/2,-z'
'-x+1/2,y+1/2,-z'
'x+1/2,-y+1/2,z'
loop_
_atom_site_label
_atom_site_type_symbol
_atom_site_fract_x
_atom_site_fract_y
_atom_site_fract_z
_atom_site_occupancy
Er1 Er 0.000 0.000 0.000 1
Er2 Er 0.126 0.500 0.693 1
Ni1 Ni 0.193 0.500 0.371 1
Ge1 Ge 0.088 0.000 0.398 1
Ge2 Ge 0.207 0.500 0.076 1
```

Top 10 peaks for 2θ from 15° to 90°, by angle:
(hkl)  Position (°2θ)  d (Å)  I/Imax
1 1 -1  24.8  3.584  42
3 1 -1  33.8  2.655  64
3 1 0  34.4  2.607  87
2 0 -3  34.5  2.597  30
1 1 2  34.9  2.571  76
0 0 3  35.1  2.553  43
4 0 1  40.8  2.211  17
0 2 0  43.8  2.069  100
0 2 3  57.3  1.608  21
7 1 -2  66.5  1.406  17

***

(2)
This entry pairs a crystal structure of ErNi5Ge3 with its simulated powder X-ray diffraction pattern. Radiation: Cu Ka. Structure: a structure optimized by DFT (PBE).
No peak broadening, texture or thermal motion is included.

```
data_ErNi5Ge3
_cell_length_a 19.092
_cell_length_b 3.857
_cell_length_c 6.812
_cell_angle_alpha 90.00
_cell_angle_beta 90.00
_cell_angle_gamma 90.00
_space_group_name_H-M_alt 'P n m a'
_space_group_IT_number 62
loop_
_space_group_symop_operation_xyz
'x,y,z'
'-x,-y,-z'
'-x+1/2,-y,z+1/2'
'x+1/2,y,-z+1/2'
'x+1/2,-y+1/2,-z+1/2'
'-x+1/2,y+1/2,z+1/2'
'-x,y+1/2,-z'
'x,-y+1/2,z'
loop_
_atom_site_label
_atom_site_type_symbol
_atom_site_fract_x
_atom_site_fract_y
_atom_site_fract_z
_atom_site_occupancy
Er1 Er 0.146 0.250 0.121 1
Ni1 Ni 0.003 0.750 0.131 1
Ni2 Ni 0.013 0.250 0.380 1
Ni3 Ni 0.112 0.250 0.639 1
Ni4 Ni 0.201 0.750 0.811 1
Ni5 Ni 0.207 0.750 0.425 1
Ge1 Ge 0.077 0.750 0.852 1
Ge2 Ge 0.086 0.750 0.404 1
Ge3 Ge 0.237 0.250 0.617 1
```

Top 10 peaks for 2θ from 15° to 90°, by angle:
(hkl)  Position (°2θ)  d (Å)  I/Imax
5 0 2  35.3  2.542  20
7 0 1  35.5  2.531  36
5 1 1  35.6  2.521  21
6 1 0  36.6  2.455  22
3 1 2  38.0  2.369  100
5 1 2  42.6  2.122  17
8 1 0  44.7  2.028  23
0 2 0  47.1  1.929  42
9 0 2  50.7  1.801  22
0 0 4  53.8  1.703  18

***

(3)
This entry pairs a crystal structure of ErSc2Ni4Ge4 with its simulated powder X-ray diffraction pattern. Radiation: Cu Ka. Structure: a structure optimized by DFT (PBE).
No peak broadening, texture or thermal motion is included.

```
data_ErSc2Ni4Ge4
_cell_length_a 3.943
_cell_length_b 6.713
_cell_length_c 13.040
_cell_angle_alpha 90.00
_cell_angle_beta 90.00
_cell_angle_gamma 90.00
_space_group_name_H-M_alt 'I m m m'
_space_group_IT_number 71
_space_group_name_Hall '-I 2 2'
loop_
_atom_site_label
_atom_site_type_symbol
_atom_site_fract_x
_atom_site_fract_y
_atom_site_fract_z
_atom_site_occupancy
Er1 Er 0.000 0.000 0.000 1
Sc1 Sc 0.000 0.500 0.127 1
Ni1 Ni 0.000 0.304 0.323 1
Ge1 Ge 0.000 0.000 0.222 1
Ge2 Ge 0.000 0.189 0.500 1
```

Top 10 peaks for 2θ from 15° to 90°, by angle:
(hkl)  Position (°2θ)  d (Å)  I/Imax
1 1 0  26.2  3.400  21
0 0 4  27.4  3.260  19
1 2 1  35.8  2.508  100
0 1 5  37.0  2.431  27
1 1 4  38.2  2.353  82
0 0 6  41.5  2.174  21
0 3 3  45.6  1.990  32
2 0 0  46.0  1.972  39
1 2 5  50.0  1.825  47
2 3 3  66.8  1.400  19

***

(4)
This entry pairs a crystal structure of ErSiNiGe2 with its simulated powder X-ray diffraction pattern. Radiation: Cu Ka. Structure: a structure optimized by DFT (PBE).
No peak broadening, texture or thermal motion is included.

```
data_ErSiNiGe2
_cell_length_a 4.079
_cell_length_b 21.443
_cell_length_c 3.971
_cell_angle_alpha 90.00
_cell_angle_beta 90.00
_cell_angle_gamma 90.00
_space_group_name_H-M_alt 'C m m m'
_space_group_IT_number 65
_space_group_name_Hall '-C 2 2'
loop_
_atom_site_label
_atom_site_type_symbol
_atom_site_fract_x
_atom_site_fract_y
_atom_site_fract_z
_atom_site_occupancy
Er1 Er 0.000 0.168 0.000 1
Si1 Si 0.000 0.444 0.000 1
Ni1 Ni 0.000 0.391 0.500 1
Ge1 Ge 0.000 0.057 0.500 1
Ge2 Ge 0.000 0.284 0.500 1
```

Top 10 peaks for 2θ from 15° to 90°, by angle:
(hkl)  Position (°2θ)  d (Å)  I/Imax
0 6 1  33.7  2.657  38
1 3 1  33.9  2.644  100
1 5 1  37.9  2.371  11
1 9 0  44.0  2.057  35
2 0 0  44.4  2.039  23
0 0 2  45.7  1.986  21
2 6 1  56.9  1.618  17
1 9 2  65.3  1.429  22
2 0 2  65.6  1.423  14
1 3 3  76.9  1.240  13

***

(5)
This entry pairs a crystal structure of ErTmNi2Ge with its simulated powder X-ray diffraction pattern. Radiation: Cu Ka. Structure: a structure optimized by DFT (PBE).
No peak broadening, texture or thermal motion is included.

```
data_ErTmNi2Ge
_cell_length_a 3.556
_cell_length_b 3.921
_cell_length_c 13.100
_cell_angle_alpha 90.00
_cell_angle_beta 90.00
_cell_angle_gamma 90.00
_space_group_name_H-M_alt 'A m m 2'
_space_group_IT_number 38
loop_
_space_group_symop_operation_xyz
'x,y,z'
'-x,-y,z'
'-x,y,z'
'x,-y,z'
'x,y+1/2,z+1/2'
'-x,-y+1/2,z+1/2'
'-x,y+1/2,z+1/2'
'x,-y+1/2,z+1/2'
loop_
_atom_site_label
_atom_site_type_symbol
_atom_site_fract_x
_atom_site_fract_y
_atom_site_fract_z
_atom_site_occupancy
Er1 Er 0.000 0.000 0.000 1
Tm1 Tm 0.000 0.000 0.740 1
Ni1 Ni 0.500 0.000 0.176 1
Ni2 Ni 0.500 0.000 0.565 1
Ge1 Ge 0.500 0.000 0.370 1
```

Top 10 peaks for 2θ from 15° to 90°, by angle:
(hkl)  Position (°2θ)  d (Å)  I/Imax
0 0 4  27.2  3.275  21
0 1 3  30.6  2.918  27
1 1 1  34.7  2.582  100
1 0 4  37.3  2.409  62
1 1 3  40.0  2.256  48
0 1 5  41.4  2.179  46
0 2 0  46.3  1.961  27
2 0 0  51.4  1.778  19
1 2 4  60.9  1.521  30
2 1 5  68.1  1.378  20

***

(6)
This entry pairs a crystal structure of Er2GeO5 with its simulated powder X-ray diffraction pattern. Radiation: Cu Ka. Structure: a structure optimized by DFT (PBE).
No peak broadening, texture or thermal motion is included.

```
data_Er2GeO5
_cell_length_a 14.777
_cell_length_b 6.763
_cell_length_c 10.310
_cell_angle_alpha 90.00
_cell_angle_beta 121.84
_cell_angle_gamma 90.00
_space_group_name_H-M_alt 'C 1 2/c 1'
_space_group_IT_number 15
loop_
_space_group_symop_operation_xyz
'x,y,z'
'-x,-y,-z'
'-x,y,-z+1/2'
'x,-y,z+1/2'
'x+1/2,y+1/2,z'
'-x+1/2,-y+1/2,-z'
'-x+1/2,y+1/2,-z+1/2'
'x+1/2,-y+1/2,z+1/2'
loop_
_atom_site_label
_atom_site_type_symbol
_atom_site_fract_x
_atom_site_fract_y
_atom_site_fract_z
_atom_site_occupancy
Er1 Er 0.035 0.243 0.463 1
Er2 Er 0.137 0.130 0.837 1
Ge1 Ge 0.185 0.406 0.310 1
O1 O 0.017 0.098 0.899 1
O2 O 0.082 0.499 0.134 1
O3 O 0.116 0.199 0.322 1
O4 O 0.195 0.154 0.675 1
O5 O 0.203 0.426 0.951 1
```

Top 10 peaks for 2θ from 15° to 90°, by angle:
(hkl)  Position (°2θ)  d (Å)  I/Imax
3 1 -1  22.4  3.977  57
4 0 -2  24.7  3.606  58
0 2 1  28.3  3.154  71
3 1 -3  29.6  3.016  90
2 2 0  30.0  2.977  33
2 0 2  30.4  2.937  100
5 1 -1  34.2  2.622  79
2 2 -3  37.4  2.408  32
2 2 2  40.7  2.218  28
6 0 -4  41.0  2.200  32

***

(7)
This entry pairs a crystal structure of Er2TmGe4O12 with its simulated powder X-ray diffraction pattern. Radiation: Cu Ka. Structure: a structure optimized by DFT (PBE).
No peak broadening, texture or thermal motion is included.

```
data_Er2TmGe4O12
_cell_length_a 4.987
_cell_length_b 7.148
_cell_length_c 8.041
_cell_angle_alpha 67.62
_cell_angle_beta 88.63
_cell_angle_gamma 80.10
_space_group_name_H-M_alt 'P -1'
_space_group_IT_number 2
loop_
_space_group_symop_operation_xyz
'x,y,z'
'-x,-y,-z'
loop_
_atom_site_label
_atom_site_type_symbol
_atom_site_fract_x
_atom_site_fract_y
_atom_site_fract_z
_atom_site_occupancy
Er1 Er 0.051 0.263 0.464 1
Tm1 Tm 0.000 0.500 0.000 1
Ge1 Ge 0.410 0.879 0.793 1
Ge2 Ge 0.450 0.659 0.229 1
O1 O 0.207 0.925 0.602 1
O2 O 0.213 0.567 0.392 1
O3 O 0.252 0.753 0.011 1
O4 O 0.259 0.515 0.778 1
O5 O 0.266 0.264 0.212 1
O6 O 0.403 0.156 0.719 1
```

Top 10 peaks for 2θ from 15° to 90°, by angle:
(hkl)  Position (°2θ)  d (Å)  I/Imax
-1 1 1  24.5  3.627  72
1 2 1  28.6  3.117  100
1 0 -2  29.5  3.029  66
1 0 2  30.8  2.899  81
-1 2 1  33.8  2.653  35
0 2 -1  34.1  2.633  45
0 2 3  36.2  2.479  35
2 1 0  36.8  2.442  19
2 2 3  49.9  1.827  23
-2 1 3  51.1  1.789  23

***

(8)
This entry pairs a crystal structure of Er3Ge13Os4 with its simulated powder X-ray diffraction pattern. Radiation: Cu Ka. Structure: a structure optimized by DFT (PBE).
No peak broadening, texture or thermal motion is included.

```
data_Er3Ge13Os4
_cell_length_a 9.039
_cell_length_b 9.039
_cell_length_c 9.039
_cell_angle_alpha 90.00
_cell_angle_beta 90.00
_cell_angle_gamma 90.00
_space_group_name_H-M_alt 'P m -3 n'
_space_group_IT_number 223
_space_group_name_Hall '-P 4n 2 3'
loop_
_atom_site_label
_atom_site_type_symbol
_atom_site_fract_x
_atom_site_fract_y
_atom_site_fract_z
_atom_site_occupancy
Er1 Er 0.000 0.250 0.500 1
Ge1 Ge 0.000 0.000 0.000 1
Ge2 Ge 0.000 0.299 0.145 1
Os1 Os 0.250 0.250 0.250 1
```

Top 10 peaks for 2θ from 15° to 90°, by angle:
(hkl)  Position (°2θ)  d (Å)  I/Imax
2 0 0  19.6  4.519  45
2 2 0  27.9  3.196  22
2 2 2  34.4  2.609  54
3 2 0  35.8  2.507  100
3 2 1  37.2  2.416  38
4 0 0  39.9  2.260  59
4 2 0  44.8  2.021  34
4 2 2  49.4  1.845  50
4 4 0  57.7  1.598  22
6 2 2  68.9  1.363  38

***

(9)
This entry pairs a crystal structure of PrErGe4Os2 with its simulated powder X-ray diffraction pattern. Radiation: Cu Ka. Structure: a structure optimized by DFT (PBE).
No peak broadening, texture or thermal motion is included.

```
data_PrErGe4Os2
_cell_length_a 4.491
_cell_length_b 4.447
_cell_length_c 8.364
_cell_angle_alpha 90.00
_cell_angle_beta 104.41
_cell_angle_gamma 90.00
_space_group_name_H-M_alt 'P 1 m 1'
_space_group_IT_number 6
loop_
_space_group_symop_operation_xyz
'x,y,z'
'x,-y,z'
loop_
_atom_site_label
_atom_site_type_symbol
_atom_site_fract_x
_atom_site_fract_y
_atom_site_fract_z
_atom_site_occupancy
Pr1 Pr 0.000 0.000 0.000 1
Er1 Er 0.234 0.500 0.418 1
Ge1 Ge 0.281 0.000 0.707 1
Ge2 Ge 0.567 0.500 0.117 1
Ge3 Ge 0.653 0.000 0.293 1
Ge4 Ge 0.925 0.500 0.695 1
Os1 Os 0.493 0.500 0.818 1
Os2 Os 0.712 0.000 0.586 1
```

Top 10 peaks for 2θ from 15° to 90°, by angle:
(hkl)  Position (°2θ)  d (Å)  I/Imax
1 1 0  28.7  3.109  58
1 1 -1  28.9  3.093  94
0 1 2  29.8  2.994  61
1 1 1  32.6  2.744  100
1 0 2  33.8  2.653  46
1 0 -3  34.5  2.603  90
0 1 3  39.0  2.308  92
2 0 -1  40.2  2.245  55
0 2 0  40.6  2.223  92
1 2 -3  54.3  1.691  50

***

(10)
This entry pairs a crystal structure of YErGe4Os2 with its simulated powder X-ray diffraction pattern. Radiation: Cu Ka. Structure: a structure optimized by DFT (PBE).
No peak broadening, texture or thermal motion is included.

```
data_YErGe4Os2
_cell_length_a 4.437
_cell_length_b 4.448
_cell_length_c 8.281
_cell_angle_alpha 90.00
_cell_angle_beta 104.75
_cell_angle_gamma 90.00
_space_group_name_H-M_alt 'P 1 m 1'
_space_group_IT_number 6
loop_
_space_group_symop_operation_xyz
'x,y,z'
'x,-y,z'
loop_
_atom_site_label
_atom_site_type_symbol
_atom_site_fract_x
_atom_site_fract_y
_atom_site_fract_z
_atom_site_occupancy
Y1 Y 0.000 0.000 0.000 1
Er1 Er 0.241 0.500 0.417 1
Ge1 Ge 0.292 0.000 0.717 1
Ge2 Ge 0.579 0.500 0.122 1
Ge3 Ge 0.658 0.000 0.293 1
Ge4 Ge 0.937 0.500 0.696 1
Os1 Os 0.510 0.500 0.824 1
Os2 Os 0.719 0.000 0.590 1
```

Top 10 peaks for 2θ from 15° to 90°, by angle:
(hkl)  Position (°2θ)  d (Å)  I/Imax
1 1 0  28.9  3.088  53
1 1 -1  29.0  3.077  95
0 1 2  30.0  2.976  62
1 1 1  32.9  2.719  100
1 0 -3  34.8  2.580  93
0 1 3  39.4  2.289  90
0 2 0  40.6  2.224  97
2 0 -1  40.7  2.218  48
2 1 -1  45.7  1.985  44
1 2 -3  54.5  1.685  52

***

(11)
This entry pairs a crystal structure of TbEr2Ge4Pd4 with its simulated powder X-ray diffraction pattern. Radiation: Cu Ka. Structure: a structure optimized by DFT (PBE).
No peak broadening, texture or thermal motion is included.

```
data_TbEr2Ge4Pd4
_cell_length_a 4.159
_cell_length_b 7.118
_cell_length_c 13.943
_cell_angle_alpha 90.00
_cell_angle_beta 90.00
_cell_angle_gamma 90.00
_space_group_name_H-M_alt 'I m m m'
_space_group_IT_number 71
_space_group_name_Hall '-I 2 2'
loop_
_atom_site_label
_atom_site_type_symbol
_atom_site_fract_x
_atom_site_fract_y
_atom_site_fract_z
_atom_site_occupancy
Tb1 Tb 0.000 0.000 0.000 1
Er1 Er 0.000 0.500 0.126 1
Ge1 Ge 0.000 0.000 0.218 1
Ge2 Ge 0.000 0.187 0.500 1
Pd1 Pd 0.000 0.298 0.325 1
```

Top 10 peaks for 2θ from 15° to 90°, by angle:
(hkl)  Position (°2θ)  d (Å)  I/Imax
1 2 1  33.8  2.655  100
0 1 5  34.5  2.596  30
1 1 4  35.9  2.501  85
1 2 3  38.5  2.337  25
0 0 6  38.7  2.324  17
0 3 3  42.8  2.113  34
2 0 0  43.5  2.080  39
2 1 5  56.7  1.624  20
2 3 3  62.7  1.482  22
1 5 4  75.7  1.256  15

***

(12)
This entry pairs a crystal structure of Er4TlGe4Pd2 with its simulated powder X-ray diffraction pattern. Radiation: Cu Ka. Structure: a structure optimized by DFT (PBE).
No peak broadening, texture or thermal motion is included.

```
data_Er4TlGe4Pd2
_cell_length_a 15.888
_cell_length_b 4.208
_cell_length_c 7.201
_cell_angle_alpha 90.00
_cell_angle_beta 107.81
_cell_angle_gamma 90.00
_space_group_name_H-M_alt 'C 1 2/m 1'
_space_group_IT_number 12
loop_
_space_group_symop_operation_xyz
'x,y,z'
'-x,-y,-z'
'-x,y,-z'
'x,-y,z'
'x+1/2,y+1/2,z'
'-x+1/2,-y+1/2,-z'
'-x+1/2,y+1/2,-z'
'x+1/2,-y+1/2,z'
loop_
_atom_site_label
_atom_site_type_symbol
_atom_site_fract_x
_atom_site_fract_y
_atom_site_fract_z
_atom_site_occupancy
Er1 Er 0.086 0.000 0.378 1
Er2 Er 0.156 0.000 0.922 1
Tl1 Tl 0.000 0.500 0.000 1
Ge1 Ge 0.063 0.500 0.656 1
Ge2 Ge 0.193 0.500 0.235 1
Pd1 Pd 0.219 0.500 0.623 1
```

Top 10 peaks for 2θ from 15° to 90°, by angle:
(hkl)  Position (°2θ)  d (Å)  I/Imax
3 1 1  32.8  2.727  100
6 0 -1  33.9  2.642  26
3 1 -2  34.2  2.622  55
1 1 2  35.6  2.519  70
5 1 0  36.6  2.456  35
6 0 -2  37.3  2.414  20
4 0 -3  39.4  2.288  34
6 0 1  41.8  2.162  20
0 2 0  43.0  2.104  43
4 2 -3  59.7  1.549  20